Computed PXRD pattern
Compound: U2BiSb3
Radiation: Cu Kα
Structure: a crystal structure in Alexandria, relaxed with GGA-PBE

Peak list (10 most intense, 2θ = 15–90°, most intense first)
- 2θ = 35.59°, d 2.523, intensity 100, (1 1 2)
- 2θ = 30.73°, d 2.910, intensity 80, (1 1 1)
- 2θ = 41.40°, d 2.181, intensity 55, (2 0 0)
- 2θ = 30.59°, d 2.923, intensity 43, (0 0 3)
- 2θ = 52.34°, d 1.748, intensity 38, (2 0 3)
- 2θ = 68.87°, d 1.363, intensity 33, (2 2 3)
- 2θ = 22.77°, d 3.906, intensity 33, (1 0 1)
- 2θ = 37.02°, d 2.428, intensity 29, (1 0 3)
- 2θ = 71.73°, d 1.316, intensity 27, (3 1 2)
- 2θ = 28.94°, d 3.085, intensity 21, (1 1 0)

abc: 4.362 4.362 8.768
angles: 90.00 90.00 90.00
Space group P-4m2 (No. 115)
Inequivalent atoms, fractional coordinates:
U 0.000 0.500 0.212
Bi 0.000 0.000 0.500
Sb 0.000 0.500 0.856
Sb 0.500 0.500 0.500

Computed PXRD pattern
Compound: Tm3ScTc8
Radiation: Cu Kα
Structure: a crystal structure in Alexandria, relaxed with GGA-PBE

Peak list (10 most intense, 2θ = 15–90°, most intense first)
- 2θ = 39.58°, d 2.277, intensity 100, (2 0 2)
- 2θ = 33.56°, d 2.670, intensity 37, (1 1 0)
- 2θ = 64.06°, d 1.454, intensity 32, (3 0 6)
- 2θ = 41.41°, d 2.180, intensity 31, (0 2 4)
- 2θ = 70.54°, d 1.335, intensity 26, (2 2 0)
- 2θ = 60.01°, d 1.542, intensity 14, (3 0 0)
- 2θ = 85.23°, d 1.139, intensity 11, (4 0 4)
- 2θ = 84.01°, d 1.152, intensity 8, (0 4 2)
- 2θ = 80.42°, d 1.194, intensity 6, (2 1 16)
- 2θ = 19.48°, d 4.556, intensity 3, (1 0 1)

abc: 5.3428 5.3428 26.1410
angles: 90.00 90.00 120.00
Space group R3m (No. 160, hexagonal axes)
Inequivalent atoms, fractional coordinates:
Tm 0.0000 0.0000 0.0000
Tm 0.0000 0.0000 0.1258
Tm 0.0000 0.0000 0.5013
Sc 0.0000 0.0000 0.6255
Tc 0.0000 0.0000 0.3130
Tc 0.0000 0.0000 0.8132
Tc 0.0007 0.5003 0.5640
Tc 0.1673 0.3347 0.3956

Computed PXRD pattern
Compound: PmTmI3
Radiation: Cu Kα
Structure: a crystal structure in Alexandria, relaxed with GGA-PBE

Peak list (10 most intense, 2θ = 15–90°, most intense first)
- 2θ = 29.16°, d 3.063, intensity 100, (1 1 2)
- 2θ = 38.74°, d 2.324, intensity 43, (7 1 -3)
- 2θ = 36.50°, d 2.462, intensity 26, (7 1 -2)
- 2θ = 26.95°, d 3.309, intensity 26, (1 1 -2)
- 2θ = 28.55°, d 3.127, intensity 23, (3 1 1)
- 2θ = 44.01°, d 2.057, intensity 21, (0 2 0)
- 2θ = 19.18°, d 4.629, intensity 21, (4 0 -2)
- 2θ = 17.70°, d 5.011, intensity 20, (4 0 0)
- 2θ = 25.09°, d 3.549, intensity 18, (3 1 -1)
- 2θ = 35.84°, d 2.505, intensity 14, (8 0 0)

abc: 21.825 4.114 11.261
angles: 90.00 113.32 90.00
Space group C2/m (No. 12)
Inequivalent atoms, fractional coordinates:
Pm 0.079 0.000 0.252
Tm 0.065 0.500 0.964
I 0.064 0.000 0.751
I 0.143 0.500 0.476
I 0.179 0.000 0.119

Computed PXRD pattern
Compound: HoMg2GaPd2
Radiation: Cu Kα
Structure: a crystal structure in Alexandria, relaxed with GGA-PBE

Peak list (10 most intense, 2θ = 15–90°, most intense first)
- 2θ = 24.54°, d 3.627, intensity 100, (1 1 0)
- 2θ = 34.98°, d 2.565, intensity 63, (2 0 0)
- 2θ = 49.90°, d 1.828, intensity 42, (2 0 4)
- 2θ = 42.73°, d 2.116, intensity 41, (1 1 4)
- 2θ = 34.43°, d 2.605, intensity 30, (0 0 4)
- 2θ = 50.31°, d 1.814, intensity 22, (2 2 0)
- 2θ = 62.39°, d 1.488, intensity 21, (2 2 4)
- 2θ = 68.09°, d 1.377, intensity 20, (3 1 4)
- 2θ = 56.75°, d 1.622, intensity 20, (3 1 0)
- 2θ = 31.10°, d 2.876, intensity 18, (1 0 3)

abc: 5.130 5.130 10.420
angles: 90.00 90.00 90.00
Space group I4/mmm (No. 139)
Inequivalent atoms, fractional coordinates:
Ho 0.000 0.000 0.000
Mg 0.000 0.500 0.250
Ga 0.000 0.000 0.500
Pd 0.000 0.000 0.268

Computed PXRD pattern
Compound: RbNaTl3Pb
Radiation: Cu Kα
Structure: a crystal structure in Alexandria, relaxed with GGA-PBE

Peak list (10 most intense, 2θ = 15–90°, most intense first)
- 2θ = 32.72°, d 2.737, intensity 100, (0 4 2)
- 2θ = 32.56°, d 2.750, intensity 97, (2 4 0)
- 2θ = 35.63°, d 2.520, intensity 96, (2 0 2)
- 2θ = 23.51°, d 3.785, intensity 62, (1 3 1)
- 2θ = 27.18°, d 3.281, intensity 50, (0 2 2)
- 2θ = 26.99°, d 3.303, intensity 47, (2 2 0)
- 2θ = 18.34°, d 4.836, intensity 42, (1 1 1)
- 2θ = 62.26°, d 1.491, intensity 35, (2 4 4)
- 2θ = 56.25°, d 1.635, intensity 35, (2 8 2)
- 2θ = 61.97°, d 1.498, intensity 28, (4 4 2)

abc: 7.156 17.195 7.099
angles: 90.00 90.00 90.00
Space group Cmcm (No. 63)
Inequivalent atoms, fractional coordinates:
Rb 0.000 0.190 0.250
Na 0.000 0.395 0.250
Tl 0.000 0.379 0.750
Tl 0.227 0.000 0.000
Pb 0.000 0.128 0.750

Computed PXRD pattern
Compound: La9Tb4Nd11
Radiation: Cu Kα
Structure: a crystal structure in Alexandria, relaxed with GGA-PBE

Peak list (10 most intense, 2θ = 15–90°, most intense first)
- 2θ = 32.23°, d 2.777, intensity 100, (4 0 1)
- 2θ = 30.82°, d 2.902, intensity 94, (0 6 1)
- 2θ = 28.92°, d 3.088, intensity 90, (4 6 0)
- 2θ = 31.38°, d 2.850, intensity 74, (5 5 0)
- 2θ = 29.36°, d 3.042, intensity 61, (1 5 1)
- 2θ = 51.73°, d 1.767, intensity 52, (5 11 1)
- 2θ = 58.15°, d 1.586, intensity 48, (9 5 1)
- 2θ = 57.73°, d 1.597, intensity 45, (4 16 0)
- 2θ = 32.35°, d 2.767, intensity 33, (0 10 0)
- 2θ = 29.23°, d 3.055, intensity 29, (2 4 1)

abc: 16.627 27.670 3.733
angles: 90.00 90.00 90.00
Space group Cmmm (No. 65)
Inequivalent atoms, fractional coordinates:
La 0.000 0.000 0.000
La 0.106 0.222 0.000
La 0.116 0.411 0.000
Tb 0.171 0.095 0.000
Nd 0.000 0.122 0.500
Nd 0.000 0.320 0.500
Nd 0.000 0.500 0.500
Nd 0.219 0.317 0.500
Nd 0.248 0.500 0.500

Computed PXRD pattern
Compound: Pr4NdY2Sc
Radiation: Cu Kα
Structure: a crystal structure in Alexandria, relaxed with GGA-PBE

Peak list (10 most intense, 2θ = 15–90°, most intense first)
- 2θ = 31.81°, d 2.813, intensity 100, (1 1 2)
- 2θ = 30.04°, d 2.975, intensity 58, (2 0 0)
- 2θ = 54.47°, d 1.685, intensity 43, (3 1 2)
- 2θ = 43.00°, d 2.103, intensity 22, (2 2 0)
- 2θ = 57.75°, d 1.596, intensity 18, (2 0 4)
- 2θ = 66.47°, d 1.407, intensity 11, (2 2 4)
- 2θ = 87.49°, d 1.115, intensity 11, (5 1 2)
- 2θ = 70.83°, d 1.330, intensity 10, (4 2 0)
- 2θ = 71.79°, d 1.315, intensity 10, (3 3 2)
- 2θ = 48.09°, d 1.892, intensity 8, (0 0 4)

abc: 5.949 5.949 7.568
angles: 90.00 90.00 90.00
Space group P4/mmm (No. 123)
Inequivalent atoms, fractional coordinates:
Pr 0.000 0.500 0.243
Nd 0.000 0.000 0.000
Y 0.000 0.000 0.500
Y 0.500 0.500 0.500
Sc 0.500 0.500 0.000

Computed PXRD pattern
Compound: NdSc2Ga6
Radiation: Cu Kα
Structure: a crystal structure in Alexandria, relaxed with GGA-PBE

Peak list (10 most intense, 2θ = 15–90°, most intense first)
- 2θ = 34.29°, d 2.615, intensity 100, (1 1 1)
- 2θ = 41.96°, d 2.153, intensity 62, (3 0 0)
- 2θ = 67.03°, d 1.396, intensity 29, (3 0 2)
- 2θ = 55.27°, d 1.662, intensity 24, (2 2 1)
- 2θ = 71.74°, d 1.316, intensity 22, (4 1 1)
- 2θ = 49.71°, d 1.834, intensity 13, (0 0 2)
- 2θ = 76.66°, d 1.243, intensity 10, (3 3 0)
- 2θ = 27.97°, d 3.190, intensity 9, (1 0 1)
- 2θ = 24.26°, d 3.668, intensity 8, (0 0 1)
- 2θ = 49.06°, d 1.857, intensity 7, (3 0 1)

abc: 7.4581 7.4581 3.6683
angles: 90.00 90.00 120.00
Space group P6/mmm (No. 191)
Inequivalent atoms, fractional coordinates:
Nd 0.0000 0.0000 0.0000
Sc 0.3333 0.6667 0.0000
Ga 0.0000 0.3378 0.5000

Computed PXRD pattern
Compound: Hf3Co4
Radiation: Cu Kα
Structure: a crystal structure in Alexandria, relaxed with GGA-PBE

Peak list (10 most intense, 2θ = 15–90°, most intense first)
- 2θ = 42.11°, d 2.146, intensity 100, (1 1 0)
- 2θ = 41.88°, d 2.157, intensity 88, (0 1 8)
- 2θ = 29.35°, d 3.043, intensity 31, (1 0 4)
- 2θ = 24.32°, d 3.661, intensity 29, (1 0 1)
- 2θ = 76.81°, d 1.241, intensity 29, (1 2 8)
- 2θ = 60.90°, d 1.521, intensity 29, (2 0 8)
- 2θ = 32.03°, d 2.794, intensity 26, (0 1 5)
- 2θ = 58.17°, d 1.586, intensity 21, (1 1 9)
- 2θ = 25.40°, d 3.507, intensity 18, (0 1 2)
- 2θ = 76.97°, d 1.239, intensity 16, (3 0 0)

abc: 4.2913 4.2913 21.1938
angles: 90.00 90.00 120.00
Space group R-3m (No. 166, hexagonal axes)
Inequivalent atoms, fractional coordinates:
Hf 0.0000 0.0000 0.0000
Hf 0.0000 0.0000 0.2393
Co 0.0000 0.0000 0.1204
Co 0.0000 0.0000 0.3731

Computed PXRD pattern
Compound: Pr4Y4Tm5
Radiation: Cu Kα
Structure: a crystal structure in Alexandria, relaxed with GGA-PBE

Peak list (10 most intense, 2θ = 15–90°, most intense first)
- 2θ = 30.54°, d 2.927, intensity 100, (3 2 1)
- 2θ = 35.36°, d 2.538, intensity 34, (1 5 0)
- 2θ = 60.51°, d 1.530, intensity 28, (8 1 1)
- 2θ = 50.99°, d 1.791, intensity 24, (1 5 2)
- 2θ = 35.51°, d 2.528, intensity 17, (0 0 2)
- 2θ = 60.71°, d 1.525, intensity 14, (3 2 3)
- 2θ = 63.58°, d 1.463, intensity 12, (6 4 2)
- 2θ = 50.87°, d 1.795, intensity 12, (6 4 0)
- 2θ = 83.09°, d 1.162, intensity 12, (8 1 3)
- 2θ = 85.60°, d 1.135, intensity 11, (2 10 2)

abc: 12.943 12.943 5.056
angles: 90.00 90.00 90.00
Space group I4/m (No. 87)
Inequivalent atoms, fractional coordinates:
Pr 0.079 0.382 0.000
Y 0.152 0.772 0.000
Tm 0.000 0.000 0.000
Tm 0.038 0.188 0.500

Computed PXRD pattern
Compound: Er5Al2Tl2
Radiation: Cu Kα
Structure: a crystal structure in Alexandria, relaxed with GGA-PBE

Peak list (10 most intense, 2θ = 15–90°, most intense first)
- 2θ = 31.96°, d 2.800, intensity 100, (4 2 0)
- 2θ = 32.16°, d 2.784, intensity 89, (4 0 2)
- 2θ = 32.60°, d 2.747, intensity 83, (0 2 2)
- 2θ = 32.28°, d 2.773, intensity 67, (5 1 1)
- 2θ = 30.75°, d 2.907, intensity 46, (3 1 2)
- 2θ = 34.05°, d 2.633, intensity 45, (4 2 1)
- 2θ = 25.56°, d 3.486, intensity 40, (0 2 1)
- 2θ = 57.98°, d 1.591, intensity 36, (5 3 3)
- 2θ = 36.84°, d 2.440, intensity 34, (1 3 1)
- 2θ = 26.33°, d 3.385, intensity 33, (1 1 2)

abc: 16.064 7.814 7.724
angles: 90.00 90.00 90.00
Space group Cmce (No. 64)
Inequivalent atoms, fractional coordinates:
Er 0.000 0.000 0.000
Er 0.131 0.185 0.322
Al 0.000 0.118 0.620
Tl 0.219 0.000 0.000

Computed PXRD pattern
Compound: PrBrF
Radiation: Cu Kα
Structure: a crystal structure in Alexandria, relaxed with GGA-PBE

Peak list (10 most intense, 2θ = 15–90°, most intense first)
- 2θ = 33.07°, d 2.709, intensity 100, (1 0 1)
- 2θ = 41.13°, d 2.195, intensity 43, (1 1 0)
- 2θ = 23.40°, d 3.801, intensity 35, (1 0 0)
- 2θ = 53.76°, d 1.705, intensity 25, (2 0 1)
- 2θ = 69.85°, d 1.347, intensity 23, (2 1 1)
- 2θ = 64.27°, d 1.449, intensity 22, (1 1 2)
- 2θ = 47.08°, d 1.930, intensity 10, (0 0 2)
- 2θ = 78.47°, d 1.219, intensity 8, (1 0 3)
- 2θ = 53.22°, d 1.721, intensity 8, (1 0 2)
- 2θ = 23.04°, d 3.861, intensity 7, (0 0 1)

abc: 4.3893 4.3893 3.8605
angles: 90.00 90.00 120.00
Space group P-6m2 (No. 187)
Inequivalent atoms, fractional coordinates:
Pr 0.0000 0.0000 0.0000
Br 0.6667 0.3333 0.5000
F 0.3333 0.6667 0.0000